No. 1
Structure and theoretical XRD peak list of TbPmS3 (a crystal structure in Alexandria, relaxed with GGA-PBE; Cu Ka).
Kinematic intensities with the Lorentz-polarization factor, no thermal factor.

Main lines, in order of rising 2θ (10 to 80 degrees two-theta):
two_theta  I_rel
23.97  100.0
25.29  98.6
35.12  49.3
38.56  76.7
43.77  49.3
44.56  49.4

Structural model:
Cell lengths 7.4461, 7.4461, 7.4461 Å; angles 56.46, 56.46, 56.46 degrees
Positions (direct):
Tb: 0.1503 0.1503 0.1503
Tb: 0.8497 0.8497 0.8497
Pm: 0.3545 0.3545 0.3545
Pm: 0.6455 0.6455 0.6455
S: 0.0440 0.4482 0.7595
S: 0.2405 0.9560 0.5518
S: 0.4482 0.7595 0.0440
S: 0.5518 0.2405 0.9560
S: 0.7595 0.0440 0.4482
S: 0.9560 0.5518 0.2405

No. 2
Structure and theoretical XRD peak list of Tb2Pm6S3 (a crystal structure in Alexandria, relaxed with GGA-PBE; Cu Ka).
Kinematic intensities with the Lorentz-polarization factor, no thermal factor.

Main lines, in order of rising 2θ (10 to 80 degrees two-theta):
two_theta  I_rel
28.47  100.0
29.86  95.0
32.99  48.2
47.29  60.9
50.61  34.6
56.15  41.1

Structural model:
Cell lengths 25.1302, 25.1302, 25.1302 Å; angles 8.77, 8.77, 8.77 degrees
Positions (direct):
Tb: 0.0574 0.0574 0.0574
Tb: 0.9426 0.9426 0.9426
Pm: 0.1429 0.1429 0.1429
Pm: 0.3140 0.3140 0.3140
Pm: 0.4305 0.4305 0.4305
Pm: 0.5695 0.5695 0.5695
Pm: 0.6860 0.6860 0.6860
Pm: 0.8571 0.8571 0.8571
S: 0.2132 0.2132 0.2132
S: 0.5000 0.5000 0.5000
S: 0.7868 0.7868 0.7868

No. 3
Structure and theoretical XRD peak list of Tb4PmTh3S8 (a crystal structure in Alexandria, relaxed with GGA-PBE; Cu Ka).
Kinematic intensities with the Lorentz-polarization factor, no thermal factor.

Main lines, in order of rising 2θ (10 to 80 degrees two-theta):
two_theta  I_rel
26.88  23.9
27.62  66.7
31.78  100.0
45.09  37.6
46.04  35.6
54.12  22.5

Structural model:
Cell lengths 8.0459, 8.0459, 8.0459 Å; angles 58.69, 58.69, 58.69 degrees
Positions (direct):
Tb: 0.0000 0.0000 0.0000
Tb: 0.0000 0.5000 0.5000
Tb: 0.5000 0.0000 0.5000
Tb: 0.5000 0.5000 0.0000
Pm: 0.5000 0.5000 0.5000
Th: 0.0000 0.0000 0.5000
Th: 0.0000 0.5000 0.0000
Th: 0.5000 0.0000 0.0000
S: 0.2465 0.2465 0.7452
S: 0.2465 0.7452 0.2465
S: 0.2544 0.2544 0.2544
S: 0.2548 0.7535 0.7535
S: 0.7452 0.2465 0.2465
S: 0.7456 0.7456 0.7456
S: 0.7535 0.2548 0.7535
S: 0.7535 0.7535 0.2548

No. 4
Structure and theoretical XRD peak list of TbPm2TmS4 (a crystal structure in Alexandria, relaxed with GGA-PBE; Cu Ka).
Kinematic intensities with the Lorentz-polarization factor, no thermal factor.

Main lines, in order of rising 2θ (10 to 80 degrees two-theta):
two_theta  I_rel
27.03  21.2
27.64  19.9
27.85  39.1
31.97  100.0
45.44  24.5
46.22  23.5

Structural model:
Cell lengths 6.8177, 3.9055, 6.9679 Å; angles 90.00, 108.79, 90.00 degrees
Positions (direct):
Tb: 0.0000 0.0000 0.0000
Pm: 0.0000 0.5000 0.5000
Pm: 0.5000 0.0000 0.5000
Tm: 0.5000 0.5000 0.0000
S: 0.2493 0.5000 0.2366
S: 0.2596 0.0000 0.7662
S: 0.7404 0.0000 0.2338
S: 0.7507 0.5000 0.7634